Record 1
Ba2InBiO6: simulated X-ray powder pattern (CuKα), based on a PBE-relaxed structure.
Peak positions follow from Bragg's law for the DFT cell and can differ from measured ones.

Most intense lines, 10 to 80 degrees two-theta, sorted by position:
d_spacing	I/Imax
3.047	1000
2.154	281
1.759	427
1.523	176
1.363	183
1.244	58

a b c (Å): 8.618 8.618 8.618
angles (deg): 90.00 90.00 90.00
Positions (direct):
1 Ba 0.250 0.250 0.250
2 Ba 0.250 0.250 0.750
3 Ba 0.250 0.750 0.250
4 Ba 0.250 0.750 0.750
5 Ba 0.750 0.250 0.250
6 Ba 0.750 0.250 0.750
7 Ba 0.750 0.750 0.250
8 Ba 0.750 0.750 0.750
9 In 0.000 0.000 0.000
10 In 0.000 0.500 0.500
11 In 0.500 0.000 0.500
12 In 0.500 0.500 0.000
13 Bi 0.000 0.000 0.500
14 Bi 0.000 0.500 0.000
15 Bi 0.500 0.000 0.000
16 Bi 0.500 0.500 0.500
17 O 0.021 0.524 0.752
18 O 0.021 0.976 0.748
19 O 0.024 0.248 0.521
20 O 0.024 0.252 0.979
21 O 0.248 0.521 0.024
22 O 0.248 0.979 0.476
23 O 0.252 0.521 0.476
24 O 0.252 0.979 0.024
25 O 0.476 0.248 0.979
26 O 0.476 0.252 0.521
27 O 0.479 0.524 0.748
28 O 0.479 0.976 0.752
29 O 0.521 0.024 0.248
30 O 0.521 0.476 0.252
31 O 0.524 0.748 0.479
32 O 0.524 0.752 0.021
33 O 0.748 0.021 0.976
34 O 0.748 0.479 0.524
35 O 0.752 0.021 0.524
36 O 0.752 0.479 0.976
37 O 0.976 0.748 0.021
38 O 0.976 0.752 0.479
39 O 0.979 0.024 0.252
40 O 0.979 0.476 0.248

=====

Record 2
TmCdPd2: simulated X-ray powder pattern (CuKα), based on a PBE-relaxed structure.
Peak positions follow from Bragg's law for the DFT cell and can differ from measured ones.

Most intense lines, 10 to 80 degrees two-theta, sorted by position:
d_spacing	I/Imax
3.891	26
3.369	21
2.383	1000
2.032	15
1.685	171
1.376	343

a b c (Å): 6.739 6.739 6.739
angles (deg): 90.00 90.00 90.00
Positions (direct):
1 Tm 0.000 0.000 0.000
2 Tm 0.000 0.500 0.500
3 Tm 0.500 0.000 0.500
4 Tm 0.500 0.500 0.000
5 Cd 0.000 0.000 0.500
6 Cd 0.000 0.500 0.000
7 Cd 0.500 0.000 0.000
8 Cd 0.500 0.500 0.500
9 Pd 0.250 0.250 0.250
10 Pd 0.250 0.250 0.750
11 Pd 0.250 0.750 0.250
12 Pd 0.250 0.750 0.750
13 Pd 0.750 0.250 0.250
14 Pd 0.750 0.250 0.750
15 Pd 0.750 0.750 0.250
16 Pd 0.750 0.750 0.750

=====

Record 3
BaB2Rh2: simulated X-ray powder pattern (CuKα), based on a PBE-relaxed structure.
Peak positions follow from Bragg's law for the DFT cell and can differ from measured ones.

Most intense lines, 10 to 80 degrees two-theta, sorted by position:
d_spacing	I/Imax
3.732	397
2.877	386
2.510	1000
1.972	281
1.627	276
1.581	269

a b c (Å): 3.945 3.945 11.509
angles (deg): 90.00 90.00 90.00
Positions (direct):
1 Ba 0.000 0.000 0.000
2 Ba 0.500 0.500 0.500
3 B 0.000 0.000 0.317
4 B 0.000 0.000 0.683
5 B 0.500 0.500 0.183
6 B 0.500 0.500 0.817
7 Rh 0.000 0.500 0.250
8 Rh 0.000 0.500 0.750
9 Rh 0.500 0.000 0.250
10 Rh 0.500 0.000 0.750

=====

Record 4
HoGa2Ni3: simulated X-ray powder pattern (CuKα), based on a PBE-relaxed structure.
Peak positions follow from Bragg's law for the DFT cell and can differ from measured ones.

Most intense lines, 10 to 80 degrees two-theta, sorted by position:
d_spacing	I/Imax
2.779	737
2.524	420
2.345	1000
2.186	629
2.148	713
2.046	526

a b c (Å): 4.093 8.747 8.747
angles (deg): 120.11 90.00 90.00
Positions (direct):
1 Ho 0.000 0.000 0.000
2 Ho 0.500 0.333 0.667
3 Ho 0.500 0.667 0.333
4 Ga 0.000 0.000 0.486
5 Ga 0.000 0.486 0.000
6 Ga 0.000 0.515 0.515
7 Ga 0.500 0.000 0.728
8 Ga 0.500 0.271 0.271
9 Ga 0.500 0.728 0.000
10 Ni 0.000 0.177 0.806
11 Ni 0.000 0.195 0.372
12 Ni 0.000 0.372 0.195
13 Ni 0.000 0.629 0.823
14 Ni 0.000 0.806 0.177
15 Ni 0.000 0.823 0.629
16 Ni 0.500 0.001 0.296
17 Ni 0.500 0.296 0.001
18 Ni 0.500 0.705 0.705

=====

Record 5
MgSn2: simulated X-ray powder pattern (CuKα), based on a PBE-relaxed structure.
Peak positions follow from Bragg's law for the DFT cell and can differ from measured ones.

Most intense lines, 10 to 80 degrees two-theta, sorted by position:
d_spacing	I/Imax
5.212	232
2.911	313
2.606	342
2.576	510
2.541	1000
1.424	303

a b c (Å): 5.212 3.342 17.775
angles (deg): 90.00 90.00 90.00
Positions (direct):
1 Mg 0.000 0.000 0.000
2 Mg 0.000 0.000 0.334
3 Mg 0.000 0.500 0.500
4 Mg 0.000 0.500 0.834
5 Sn 0.000 0.000 0.667
6 Sn 0.000 0.500 0.167
7 Sn 0.500 0.000 0.109
8 Sn 0.500 0.000 0.444
9 Sn 0.500 0.000 0.781
10 Sn 0.500 0.500 0.281
11 Sn 0.500 0.500 0.609
12 Sn 0.500 0.500 0.944

=====

Record 6
Na4BeAlSi4ClO12: simulated X-ray powder pattern (CuKα), based on a PBE-relaxed structure.
Peak positions follow from Bragg's law for the DFT cell and can differ from measured ones.

Most intense lines, 10 to 80 degrees two-theta, sorted by position:
d_spacing	I/Imax
6.253	334
3.626	328
3.580	1000
2.542	182
2.084	141
2.060	229

a b c (Å): 7.628 7.628 7.628
angles (deg): 110.17 110.17 108.07
Positions (direct):
1 Na 0.378 0.337 0.353
2 Na 0.663 0.016 0.041
3 Na 0.975 0.622 0.959
4 Na 0.984 0.025 0.647
5 Be 0.750 0.250 0.500
6 Al 0.250 0.750 0.500
7 Si 0.242 0.483 0.734
8 Si 0.492 0.758 0.241
9 Si 0.517 0.251 0.759
10 Si 0.749 0.508 0.266
11 Cl 0.000 0.000 0.000
12 O 0.003 0.389 0.691
13 O 0.286 0.562 0.573
14 O 0.286 0.714 0.276
15 O 0.308 0.292 0.715
16 O 0.407 0.692 0.983
17 O 0.438 0.010 0.724
18 O 0.576 0.593 0.285
19 O 0.611 0.302 0.614
20 O 0.688 0.997 0.386
21 O 0.698 0.312 0.309
22 O 0.708 0.424 0.017
23 O 0.990 0.714 0.427

=====

Record 7
NbCr3Cu2S8: simulated X-ray powder pattern (CuKα), based on a PBE-relaxed structure.
Peak positions follow from Bragg's law for the DFT cell and can differ from measured ones.

Most intense lines, 10 to 80 degrees two-theta, sorted by position:
d_spacing	I/Imax
6.217	1000
2.860	248
2.824	258
2.765	330
1.991	278
1.736	557

a b c (Å): 6.026 6.947 12.661
angles (deg): 88.89 79.21 89.73
Positions (direct):
1 Nb 0.000 0.000 0.000
2 Nb 0.086 0.794 0.506
3 Cr 0.048 0.525 0.005
4 Cr 0.056 0.272 0.496
5 Cr 0.550 0.773 0.006
6 Cr 0.551 0.027 0.501
7 Cr 0.552 0.529 0.503
8 Cr 0.557 0.268 0.002
9 Cu 0.131 0.769 0.291
10 Cu 0.403 0.776 0.788
11 Cu 0.858 0.353 0.225
12 Cu 0.967 0.277 0.713
13 S 0.172 0.266 0.105
14 S 0.178 0.766 0.114
15 S 0.270 0.523 0.391
16 S 0.278 0.035 0.381
17 S 0.340 0.273 0.606
18 S 0.361 0.776 0.621
19 S 0.417 0.023 0.899
20 S 0.424 0.526 0.902
21 S 0.654 0.016 0.123
22 S 0.674 0.512 0.109
23 S 0.758 0.283 0.398
24 S 0.765 0.782 0.398
25 S 0.836 0.027 0.616
26 S 0.846 0.518 0.608
27 S 0.918 0.763 0.883
28 S 0.926 0.283 0.891